Entry 1:
Calculated powder diffractogram of Li3FePCO7 for λ = 1.5418 Å (Cu Kα), from the GGA+U geometry in the Materials Project.
Peak positions follow from Bragg's law for the DFT cell and can differ from measured ones.

Structural model:
Cell lengths 8.556, 6.445, 9.786 Å; angles 90.00, 94.96, 90.00 degrees
Space group P2_1/c (No. 14)
Symmetry-distinct sites (fractional):
Li: 0.101 0.249 0.365 [4 per cell]
Li: 0.283 0.013 0.132 [4 per cell]
Li: 0.351 0.746 0.859 [4 per cell]
Fe: 0.268 0.501 0.121 [4 per cell]
P: 0.408 0.249 0.390 [4 per cell]
C: 0.041 0.744 0.899 [4 per cell]
O: 0.071 0.743 0.274 [4 per cell]
O: 0.106 0.244 0.568 [4 per cell]
O: 0.152 0.735 0.998 [4 per cell]
O: 0.309 0.059 0.340 [4 per cell]
O: 0.312 0.059 0.832 [4 per cell]
O: 0.422 0.248 0.050 [4 per cell]
O: 0.424 0.747 0.659 [4 per cell]

Top 10 peaks for 5 to 70 degrees two-theta, sorted by position:
- 10.4 deg, intensity 40, hkl 1 0 0
- 16.5 deg, intensity 72, hkl 0 1 1
- 19.1 deg, intensity 34, hkl 1 1 -1
- 19.9 deg, intensity 40, hkl 1 1 1
- 24.5 deg, intensity 35, hkl 1 1 -2
- 25.0 deg, intensity 33, hkl 2 1 0
- 25.8 deg, intensity 51, hkl 1 1 2
- 34.9 deg, intensity 100, hkl 2 2 0
- 36.9 deg, intensity 29, hkl 0 0 4
- 51.4 deg, intensity 30, hkl 4 2 0

Entry 2:
Calculated powder diffractogram of Li3Ni5O10 for λ = 1.5418 Å (Cu Kα), from the GGA+U geometry in the Materials Project.
Peak positions follow from Bragg's law for the DFT cell and can differ from measured ones.

Structural model:
Cell lengths 4.994, 5.841, 6.488 Å; angles 105.36, 96.90, 106.60 degrees
Space group P1 (No. 1)
Symmetry-distinct sites (fractional):
Li: 0.000 0.000 0.000 [1 per cell]
Li: 0.201 0.398 0.397 [1 per cell]
Li: 0.403 0.801 0.790 [1 per cell]
Ni: 0.000 0.498 0.995 [1 per cell]
Ni: 0.200 0.895 0.391 [1 per cell]
Ni: 0.404 0.298 0.796 [1 per cell]
Ni: 0.601 0.692 0.199 [1 per cell]
Ni: 0.802 0.105 0.588 [1 per cell]
O: 0.127 0.442 0.725 [1 per cell]
O: 0.137 0.976 0.683 [1 per cell]
O: 0.270 0.819 0.104 [1 per cell]
O: 0.285 0.366 0.072 [1 per cell]
O: 0.466 0.226 0.512 [1 per cell]
O: 0.484 0.762 0.469 [1 per cell]
O: 0.697 0.621 0.919 [1 per cell]
O: 0.703 0.180 0.886 [1 per cell]
O: 0.914 0.014 0.299 [1 per cell]
O: 0.932 0.568 0.278 [1 per cell]

Top 10 peaks for 5 to 70 degrees two-theta, sorted by position:
- 18.4 deg, intensity 100, hkl 0 1 -1
- 36.5 deg, intensity 12, hkl 2 -1 0
- 36.9 deg, intensity 12, hkl 1 1 1
- 37.2 deg, intensity 16, hkl -1 1 2
- 43.9 deg, intensity 19, hkl 2 -2 1
- 44.5 deg, intensity 18, hkl 1 2 0
- 44.6 deg, intensity 18, hkl 1 0 -3
- 48.3 deg, intensity 7, hkl 1 -1 3
- 58.3 deg, intensity 10, hkl 1 1 -4
- 63.6 deg, intensity 9, hkl 1 -2 4